Structure and theoretical powder diffraction line list of MgZr2Hg (a structure optimized by DFT (GGA-PBE); Cu Kα).

Structure:
```
data_MgZr2Hg
_chemical_formula_sum 'Mg1 Zr2 Hg1'
_symmetry_space_group_name_H-M 'P 4/m m m'
_symmetry_Int_Tables_number 123
_symmetry_space_group_name_Hall '-P 4 2'
_cell_length_a 4.368
_cell_length_b 4.368
_cell_length_c 4.486
_cell_angle_alpha 90.00
_cell_angle_beta 90.00
_cell_angle_gamma 90.00
loop_
_atom_site_label
_atom_site_type_symbol
_atom_site_fract_x
_atom_site_fract_y
_atom_site_fract_z
Mg1 Mg 0.000 0.000 0.000
Zr1 Zr 0.000 0.500 0.500
Hg1 Hg 0.500 0.500 0.000
```

Main lines, low angle first (5 to 70 degrees two-theta):
| d_spacing | I (rel.) |
| --- | --- |
| 4.368 | 34 |
| 3.130 | 31 |
| 2.544 | 100 |
| 2.243 | 17 |
| 2.184 | 32 |
| 1.995 | 9 |
| 1.791 | 13 |
| 1.565 | 22 |
| 1.544 | 11 |
| 1.346 | 13 |